Starting from DFT lattice parameters and positions (PBE), the X-ray powder pattern of MnFe3N4 was calculated for Cu Kα (weighted mean of Kα1 and Kα2).
Neutral-atom scattering factors, no anomalous dispersion.

Peak list (8 most intense, 2θ = 10–90°, in order of rising 2θ)
2θ = 36.7°, intensity 100; 2θ = 42.5°, intensity 9; 2θ = 42.7°, intensity 19; 2θ = 61.8°, intensity 26; 2θ = 61.9°, intensity 13; 2θ = 74.0°, intensity 11; 2θ = 74.2°, intensity 21; 2θ = 78.0°, intensity 6

Structure:
```
data_MnFe3N4
_chemical_formula_sum 'Mn1 Fe3 N4'
_cell_length_a 5.2030
_cell_length_b 5.2030
_cell_length_c 5.2030
_cell_angle_alpha 131.94
_cell_angle_beta 131.94
_cell_angle_gamma 70.32
_space_group_name_H-M_alt 'P 1'
_space_group_IT_number 1
loop_
_space_group_symop_operation_xyz
'x,y,z'
loop_
_atom_site_label
_atom_site_fract_x
_atom_site_fract_y
_atom_site_fract_z
_atom_site_occupancy
Mn1 0.0000 0.0000 0.0000 1
Fe1 0.2500 0.7500 0.5000 1
Fe2 0.5000 0.5000 0.0000 1
Fe3 0.7500 0.2500 0.5000 1
N1 0.1240 0.1240 0.4976 1
N2 0.3737 0.8760 0.0000 1
N3 0.6263 0.6263 0.5024 1
N4 0.8760 0.3737 0.0000 1
```


Starting from DFT lattice parameters and positions (PBE), the X-ray powder pattern of Mn3Fe3N5 was calculated for Cu Kα (weighted mean of Kα1 and Kα2).
Neutral-atom scattering factors, no anomalous dispersion.

Peak list (10 most intense, 2θ = 10–90°, in order of rising 2θ)
2θ = 25.1°, intensity 42; 2θ = 37.6°, intensity 59; 2θ = 39.1°, intensity 65; 2θ = 40.0°, intensity 83; 2θ = 40.3°, intensity 55; 2θ = 40.9°, intensity 72; 2θ = 41.2°, intensity 94; 2θ = 42.5°, intensity 100; 2θ = 44.0°, intensity 48; 2θ = 46.8°, intensity 45

Structure:
```
data_Mn3Fe3N5
_chemical_formula_sum 'Mn6 Fe6 N10'
_cell_length_a 5.0961
_cell_length_b 5.9120
_cell_length_c 7.1898
_cell_angle_alpha 96.98
_cell_angle_beta 101.62
_cell_angle_gamma 95.14
_space_group_name_H-M_alt 'P 1'
_space_group_IT_number 1
loop_
_space_group_symop_operation_xyz
'x,y,z'
loop_
_atom_site_label
_atom_site_fract_x
_atom_site_fract_y
_atom_site_fract_z
_atom_site_occupancy
Mn1 0.0958 0.4790 0.3404 1
Mn2 0.2190 0.2422 0.0471 1
Mn3 0.2527 0.8625 0.7957 1
Mn4 0.7473 0.1375 0.2043 1
Mn5 0.7810 0.7578 0.9529 1
Mn6 0.9042 0.5210 0.6596 1
Fe1 0.2798 0.8659 0.1828 1
Fe2 0.3749 0.4203 0.7783 1
Fe3 0.4546 0.1948 0.4539 1
Fe4 0.5454 0.8052 0.5461 1
Fe5 0.6251 0.5797 0.2217 1
Fe6 0.7202 0.1341 0.8172 1
N1 0.0148 0.3446 0.8412 1
N2 0.1266 0.1443 0.2652 1
N3 0.2551 0.6092 0.5919 1
N4 0.3675 0.1030 0.6698 1
N5 0.4379 0.7103 0.9887 1
N6 0.5621 0.2897 0.0113 1
N7 0.6325 0.8970 0.3302 1
N8 0.7449 0.3908 0.4081 1
N9 0.8734 0.8557 0.7348 1
N10 0.9852 0.6554 0.1588 1
```


Starting from DFT lattice parameters and positions (PBE), the X-ray powder pattern of Mn4Fe2N was calculated for Cu Kα (weighted mean of Kα1 and Kα2).
Neutral-atom scattering factors, no anomalous dispersion.

Peak list (10 most intense, 2θ = 10–90°, in order of rising 2θ)
2θ = 14.5°, intensity 7; 2θ = 36.9°, intensity 7; 2θ = 41.7°, intensity 32; 2θ = 44.3°, intensity 100; 2θ = 48.5°, intensity 27; 2θ = 51.7°, intensity 11; 2θ = 57.6°, intensity 6; 2θ = 76.1°, intensity 29; 2θ = 77.9°, intensity 7; 2θ = 83.5°, intensity 5

Structure:
```
data_Mn4Fe2N
_chemical_formula_sum 'Mn16 Fe8 N4'
_cell_length_a 7.5062
_cell_length_b 7.5062
_cell_length_c 7.5062
_cell_angle_alpha 60.00
_cell_angle_beta 60.00
_cell_angle_gamma 60.00
_space_group_name_H-M_alt 'P 1'
_space_group_IT_number 1
loop_
_space_group_symop_operation_xyz
'x,y,z'
loop_
_atom_site_label
_atom_site_fract_x
_atom_site_fract_y
_atom_site_fract_z
_atom_site_occupancy
Mn1 0.0000 0.0000 0.0000 1
Mn2 0.0000 0.0000 0.5000 1
Mn3 0.0000 0.5000 0.0000 1
Mn4 0.1867 0.1867 0.5633 1
Mn5 0.1867 0.5633 0.1867 1
Mn6 0.1867 0.5633 0.5633 1
Mn7 0.4367 0.4367 0.8133 1
Mn8 0.4367 0.8133 0.4367 1
Mn9 0.4367 0.8133 0.8133 1
Mn10 0.5000 0.0000 0.0000 1
Mn11 0.5633 0.1867 0.1867 1
Mn12 0.5633 0.1867 0.5633 1
Mn13 0.5633 0.5633 0.1867 1
Mn14 0.8133 0.4367 0.4367 1
Mn15 0.8133 0.4367 0.8133 1
Mn16 0.8133 0.8133 0.4367 1
Fe1 0.1222 0.7926 0.7926 1
Fe2 0.2074 0.2074 0.2074 1
Fe3 0.2074 0.2074 0.8778 1
Fe4 0.2074 0.8778 0.2074 1
Fe5 0.7926 0.1222 0.7926 1
Fe6 0.7926 0.7926 0.1222 1
Fe7 0.7926 0.7926 0.7926 1
Fe8 0.8778 0.2074 0.2074 1
N1 0.0000 0.5000 0.5000 1
N2 0.5000 0.0000 0.5000 1
N3 0.5000 0.5000 0.0000 1
N4 0.5000 0.5000 0.5000 1
```


Starting from DFT lattice parameters and positions (PBE), the X-ray powder pattern of Mn2FePN was calculated for Cu Kα (weighted mean of Kα1 and Kα2).
Neutral-atom scattering factors, no anomalous dispersion.

Peak list (10 most intense, 2θ = 10–90°, in order of rising 2θ)
2θ = 18.1°, intensity 30; 2θ = 25.7°, intensity 11; 2θ = 31.6°, intensity 11; 2θ = 36.7°, intensity 24; 2θ = 41.1°, intensity 100; 2θ = 45.3°, intensity 10; 2θ = 52.7°, intensity 54; 2θ = 66.0°, intensity 15; 2θ = 69.1°, intensity 9; 2θ = 77.8°, intensity 9

Structure:
```
data_Mn2FePN
_chemical_formula_sum 'Mn2 Fe1 P1 N1'
_cell_length_a 3.4728
_cell_length_b 3.4728
_cell_length_c 4.8963
_cell_angle_alpha 90.00
_cell_angle_beta 90.00
_cell_angle_gamma 90.00
_space_group_name_H-M_alt 'P 1'
_space_group_IT_number 1
loop_
_space_group_symop_operation_xyz
'x,y,z'
loop_
_atom_site_label
_atom_site_fract_x
_atom_site_fract_y
_atom_site_fract_z
_atom_site_occupancy
Mn1 0.0000 0.5000 0.0000 1
Mn2 0.5000 0.0000 0.0000 1
Fe1 0.0000 0.0000 0.5607 1
P1 0.5000 0.5000 0.6846 1
N1 0.0000 0.0000 0.1670 1
```